Computed powder diffraction line list
Compound: Cs
Radiation: Cu Kα X-rays
Structure: a crystal structure in Alexandria, relaxed with PBE

Lattice parameters (Å, degrees): 14.254 14.254 8.681 90.00 90.00 120.00
Fractional coordinates of all 12 atoms:
Cs1 0.071 0.251 0.250
Cs2 0.101 0.486 0.750
Cs3 0.179 0.929 0.250
Cs4 0.251 0.179 0.750
Cs5 0.385 0.899 0.750
Cs6 0.486 0.385 0.250
Cs7 0.514 0.615 0.750
Cs8 0.615 0.101 0.250
Cs9 0.749 0.821 0.250
Cs10 0.821 0.071 0.750
Cs11 0.899 0.514 0.250
Cs12 0.929 0.749 0.750

Largest 10 diffraction maxima, by angle, 15 to 90 degrees two-theta:
- (2 0 1), 17.63°, I 12
- (2 1 0), 19.02°, I 22
- (0 0 2), 20.46°, I 25
- (2 1 1), 21.62°, I 100
- (2 1 2), 28.07°, I 20
- (1 4 0), 33.27°, I 26
- (2 1 3), 36.54°, I 25
- (1 4 2), 39.37°, I 27
- (4 2 1), 40.02°, I 18
- (7 0 1), 52.99°, I 13